Record 1
Cs3VBr7: calculated powder X-ray diffraction pattern (λ = 1.5418 Å (Cu Kα)), based on a crystal structure in Alexandria, relaxed with PBE.

Structural model:
Lattice parameters (Å, degrees): 10.7165 10.7165 7.6111 90.00 90.00 90.00
Sites, in units of the cell vectors:
Cs 0.0000 0.0000 0.0000
Cs 0.1772 0.3228 0.5000
Cs 0.3228 0.8228 0.5000
Cs 0.5000 0.5000 0.0000
Cs 0.6772 0.1772 0.5000
Cs 0.8228 0.6772 0.5000
V 0.0000 0.5000 0.0000
V 0.5000 0.0000 0.0000
Br 0.0000 0.0000 0.5000
Br 0.1161 0.6161 0.2321
Br 0.1161 0.6161 0.7679
Br 0.1653 0.3347 0.0000
Br 0.3347 0.8347 0.0000
Br 0.3839 0.1161 0.2321
Br 0.3839 0.1161 0.7679
Br 0.5000 0.5000 0.5000
Br 0.6161 0.8839 0.2321
Br 0.6161 0.8839 0.7679
Br 0.6653 0.1653 0.0000
Br 0.8347 0.6653 0.0000
Br 0.8839 0.3839 0.2321
Br 0.8839 0.3839 0.7679

Principal peaks in the range 15 to 90 degrees two-theta, in order of rising 2θ:
d 4.381, I 14; d 3.789, I 24; d 3.391, I 69; d 2.979, I 100; d 2.684, I 21; d 2.599, I 17; d 2.028, I 15; d 1.763, I 14; d 1.655, I 20; d 1.617, I 15

=====

Record 2
Cs3V2Br8: calculated powder X-ray diffraction pattern (λ = 1.5418 Å (Cu Kα)), based on a crystal structure in Alexandria, relaxed with PBE.

Structural model:
Lattice parameters (Å, degrees): 7.7678 7.8067 11.0916 88.91 69.61 60.22
Sites, in units of the cell vectors:
Cs 0.0000 0.0000 0.0000
Cs 0.4120 0.7962 0.3782
Cs 0.5880 0.2038 0.6218
V 0.1849 0.4129 0.2160
V 0.8151 0.5871 0.7840
Br 0.0444 0.7253 0.6940
Br 0.0451 0.2270 0.6866
Br 0.3594 0.3082 0.9776
Br 0.4656 0.2718 0.3035
Br 0.5344 0.7282 0.6965
Br 0.6406 0.6918 0.0224
Br 0.9549 0.7730 0.3134
Br 0.9556 0.2747 0.3060

Principal peaks in the range 15 to 90 degrees two-theta, in order of rising 2θ:
d 3.904, I 95; d 3.884, I 48; d 3.403, I 96; d 3.327, I 54; d 3.281, I 100; d 3.099, I 86; d 3.065, I 53; d 2.935, I 81; d 1.952, I 85; d 1.943, I 45

=====

Record 3
Cs2VWBr6: calculated powder X-ray diffraction pattern (λ = 1.5418 Å (Cu Kα)), based on a crystal structure in Alexandria, relaxed with PBE.

Structural model:
Lattice parameters (Å, degrees): 7.6975 7.6975 7.6975 120.10 120.10 89.82
Sites, in units of the cell vectors:
Cs 0.2500 0.7500 0.5000
Cs 0.7500 0.2500 0.5000
V 0.0000 0.0000 0.0000
W 0.5000 0.5000 0.0000
Br 0.2535 0.2535 0.0000
Br 0.2540 0.2540 0.5079
Br 0.2540 0.7460 0.0000
Br 0.7460 0.2540 0.0000
Br 0.7465 0.7465 0.0000
Br 0.7460 0.7460 0.4921

Principal peaks in the range 15 to 90 degrees two-theta, in order of rising 2θ:
d 3.847, I 76; d 3.141, I 78; d 2.726, I 47; d 2.717, I 93; d 2.221, I 35; d 1.923, I 100; d 1.639, I 22; d 1.570, I 34; d 1.216, I 30; d 1.110, I 23

=====

Record 4
CsWBr3: calculated powder X-ray diffraction pattern (λ = 1.5418 Å (Cu Kα)), based on a crystal structure in Alexandria, relaxed with PBE.

Structural model:
Lattice parameters (Å, degrees): 4.7935 8.5745 9.4229 112.64 90.04 106.22
Sites, in units of the cell vectors:
Cs 0.0856 0.1697 0.3684
Cs 0.9144 0.8303 0.6316
W 0.2849 0.5697 0.0051
W 0.7151 0.4303 0.9949
Br 0.1229 0.2456 0.9893
Br 0.2784 0.5578 0.7267
Br 0.3938 0.7870 0.2961
Br 0.6062 0.2130 0.7039
Br 0.7216 0.4422 0.2733
Br 0.8771 0.7544 0.0107

Principal peaks in the range 15 to 90 degrees two-theta, in order of rising 2θ:
d 4.804, I 71; d 4.631, I 52; d 3.580, I 100; d 3.165, I 50; d 2.877, I 83; d 2.622, I 35; d 2.553, I 58; d 2.397, I 93; d 1.842, I 45; d 1.780, I 30

=====

Record 5
CsW3Br7: calculated powder X-ray diffraction pattern (λ = 1.5418 Å (Cu Kα)), based on a crystal structure in Alexandria, relaxed with PBE.

Structural model:
Lattice parameters (Å, degrees): 10.3599 10.3599 16.3437 90.00 90.00 120.00
Sites, in units of the cell vectors:
Cs 0.0000 0.0000 0.0000
Cs 0.0000 0.0000 0.5000
Cs 0.3333 0.6667 0.2414
Cs 0.6667 0.3333 0.7414
W 0.1837 0.5200 0.6836
W 0.1850 0.6665 0.8156
W 0.3335 0.5185 0.8156
W 0.3363 0.8163 0.6836
W 0.4800 0.6637 0.6836
W 0.4815 0.8150 0.8156
W 0.5185 0.3335 0.3156
W 0.5200 0.1837 0.1836
W 0.6637 0.4800 0.1836
W 0.6665 0.1850 0.3156
W 0.8150 0.4815 0.3156
W 0.8163 0.3363 0.1836
Br 0.0322 0.6891 0.4031
Br 0.0350 0.3485 0.0960
Br 0.0386 0.3688 0.8181
Br 0.0416 0.6757 0.6811
Br 0.3109 0.3430 0.4031
Br 0.3135 0.9650 0.0960
Br 0.3243 0.3659 0.6811
Br 0.3303 0.9614 0.8181
Br 0.3333 0.6667 0.5515
Br 0.3333 0.6667 0.9476
Br 0.3430 0.3109 0.9031
Br 0.3485 0.0350 0.5960
Br 0.3659 0.3243 0.1811
Br 0.3688 0.0386 0.3181
Br 0.6312 0.6697 0.8181
Br 0.6341 0.9584 0.6811
Br 0.6515 0.6865 0.0960
Br 0.6570 0.9678 0.4031
Br 0.6667 0.3333 0.0515
Br 0.6667 0.3333 0.4476
Br 0.6697 0.6312 0.3181
Br 0.6757 0.0416 0.1811
Br 0.6865 0.6515 0.5960
Br 0.6891 0.0322 0.9031
Br 0.9584 0.6341 0.1811
Br 0.9614 0.3303 0.3181
Br 0.9650 0.3135 0.5960
Br 0.9678 0.6570 0.9031

Principal peaks in the range 15 to 90 degrees two-theta, in order of rising 2θ:
d 3.208, I 52; d 2.991, I 47; d 2.879, I 29; d 2.469, I 36; d 2.460, I 30; d 2.261, I 86; d 2.188, I 100; d 2.042, I 41; d 1.925, I 62; d 1.124, I 29

=====

Record 6
Cs2Y3Br10: calculated powder X-ray diffraction pattern (λ = 1.5418 Å (Cu Kα)), based on a crystal structure in Alexandria, relaxed with PBE.

Structural model:
Lattice parameters (Å, degrees): 13.7784 13.7784 11.4606 110.19 110.19 33.94
Sites, in units of the cell vectors:
Cs 0.1212 0.1212 0.2381
Cs 0.2245 0.2245 0.8231
Cs 0.7755 0.7755 0.1769
Cs 0.8788 0.8788 0.7619
Y 0.2757 0.7243 0.5000
Y 0.3241 0.3241 0.4738
Y 0.4205 0.4205 0.0178
Y 0.5795 0.5795 0.9822
Y 0.6759 0.6759 0.5262
Y 0.7243 0.2757 0.5000
Br 0.0000 0.5000 0.5000
Br 0.0166 0.0166 0.6757
Br 0.1008 0.6035 0.0156
Br 0.1119 0.6618 0.4644
Br 0.2642 0.7358 0.0000
Br 0.2698 0.2698 0.2245
Br 0.3382 0.8881 0.5356
Br 0.3732 0.3732 0.7451
Br 0.3965 0.8992 0.9844
Br 0.4740 0.4740 0.2852
Br 0.5000 0.0000 0.5000
Br 0.5260 0.5260 0.7148
Br 0.6035 0.1008 0.0156
Br 0.6268 0.6268 0.2549
Br 0.6618 0.1119 0.4644
Br 0.7302 0.7302 0.7755
Br 0.7358 0.2642 0.0000
Br 0.8881 0.3382 0.5356
Br 0.8992 0.3965 0.9844
Br 0.9834 0.9834 0.3243

Principal peaks in the range 15 to 90 degrees two-theta, in order of rising 2θ:
d 4.392, I 29; d 3.354, I 35; d 3.213, I 87; d 3.133, I 30; d 3.073, I 24; d 2.966, I 100; d 2.672, I 30; d 2.509, I 21; d 2.012, I 66; d 1.969, I 24

=====

Record 7
Cu8Br: calculated powder X-ray diffraction pattern (λ = 1.5418 Å (Cu Kα)), based on a crystal structure in Alexandria, relaxed with PBE.

Structural model:
Lattice parameters (Å, degrees): 6.0260 6.0260 6.0260 95.22 95.22 144.89
Sites, in units of the cell vectors:
Cu 0.0000 0.3442 0.3442
Cu 0.0000 0.6558 0.6558
Cu 0.3211 0.3211 0.6421
Cu 0.3211 0.6789 0.0000
Cu 0.3442 0.0000 0.3442
Cu 0.6558 0.0000 0.6558
Cu 0.6789 0.3211 0.0000
Cu 0.6789 0.6789 0.3579
Br 0.0000 0.0000 0.0000

Principal peaks in the range 15 to 90 degrees two-theta, in order of rising 2θ:
d 2.873, I 2; d 2.172, I 100; d 1.915, I 32; d 1.818, I 15; d 1.732, I 1; d 1.394, I 2; d 1.354, I 9; d 1.318, I 17; d 1.149, I 21; d 1.106, I 10

=====

Record 8
CuBr: calculated powder X-ray diffraction pattern (λ = 1.5418 Å (Cu Kα)), based on a crystal structure in Alexandria, relaxed with PBE.

Structural model:
Lattice parameters (Å, degrees): 6.9289 6.9289 6.9289 90.00 90.00 90.00
Sites, in units of the cell vectors:
Cu 0.1183 0.1183 0.1183
Cu 0.1183 0.3817 0.6183
Cu 0.3817 0.6183 0.1183
Cu 0.3817 0.8817 0.6183
Cu 0.6183 0.1183 0.3817
Cu 0.6183 0.3817 0.8817
Cu 0.8817 0.6183 0.3817
Cu 0.8817 0.8817 0.8817
Br 0.1600 0.6600 0.8400
Br 0.1600 0.8400 0.3400
Br 0.3400 0.1600 0.8400
Br 0.3400 0.3400 0.3400
Br 0.6600 0.6600 0.6600
Br 0.6600 0.8400 0.1600
Br 0.8400 0.1600 0.6600
Br 0.8400 0.3400 0.1600

Principal peaks in the range 15 to 90 degrees two-theta, in order of rising 2θ:
d 3.464, I 8; d 2.829, I 100; d 2.310, I 11; d 1.922, I 7; d 1.852, I 62; d 1.732, I 17; d 1.681, I 9; d 1.265, I 8; d 1.225, I 7; d 1.124, I 14

=====

Record 9
Dy3CuBr3: calculated powder X-ray diffraction pattern (λ = 1.5418 Å (Cu Kα)), based on a crystal structure in Alexandria, relaxed with PBE.

Structural model:
Lattice parameters (Å, degrees): 10.0218 10.0218 10.0218 109.47 109.47 109.47
Sites, in units of the cell vectors:
Dy 0.0143 0.0285 0.2643
Dy 0.0143 0.4857 0.7500
Dy 0.0285 0.2643 0.0143
Dy 0.2357 0.2643 0.7500
Dy 0.2357 0.4715 0.4857
Dy 0.2643 0.0143 0.0285
Dy 0.2643 0.7500 0.2357
Dy 0.4715 0.4857 0.2357
Dy 0.4857 0.2357 0.4715
Dy 0.4857 0.7500 0.0143
Dy 0.7500 0.0143 0.4857
Dy 0.7500 0.2357 0.2643
Cu 0.0000 0.2500 0.5000
Cu 0.2500 0.2500 0.2500
Cu 0.2500 0.5000 0.0000
Cu 0.5000 0.0000 0.2500
Br 0.2500 0.7580 0.7420
Br 0.2500 0.9920 0.5080
Br 0.5080 0.2500 0.9920
Br 0.5080 0.7580 0.5160
Br 0.5160 0.5080 0.7580
Br 0.7420 0.2500 0.7580
Br 0.7420 0.9920 0.9840
Br 0.7580 0.5160 0.5080
Br 0.7580 0.7420 0.2500
Br 0.9840 0.7420 0.9920
Br 0.9920 0.5080 0.2500
Br 0.9920 0.9840 0.7420

Principal peaks in the range 15 to 90 degrees two-theta, in order of rising 2θ:
d 3.093, I 24; d 2.893, I 100; d 2.467, I 15; d 2.046, I 69; d 1.670, I 23; d 1.575, I 12; d 1.470, I 10; d 1.447, I 10; d 1.294, I 26; d 1.181, I 18

=====

Record 10
Er2CuBr8: calculated powder X-ray diffraction pattern (λ = 1.5418 Å (Cu Kα)), based on a crystal structure in Alexandria, relaxed with PBE.

Structural model:
Lattice parameters (Å, degrees): 8.4279 8.4279 7.3564 90.71 90.71 69.81
Sites, in units of the cell vectors:
Er 0.1971 0.1971 0.1750
Er 0.8029 0.8029 0.8250
Cu 0.0000 0.0000 0.5000
Br 0.1033 0.7239 0.6554
Br 0.1777 0.1777 0.8210
Br 0.2761 0.8967 0.3446
Br 0.3759 0.3759 0.2704
Br 0.6241 0.6241 0.7296
Br 0.7239 0.1033 0.6554
Br 0.8223 0.8223 0.1790
Br 0.8967 0.2761 0.3446

Principal peaks in the range 15 to 90 degrees two-theta, in order of rising 2θ:
d 5.410, I 66; d 5.363, I 100; d 4.999, I 76; d 4.822, I 79; d 3.955, I 67; d 3.678, I 45; d 3.496, I 60; d 2.705, I 61; d 2.186, I 44; d 2.097, I 77

=====

Record 11
K2ErCuBr6: calculated powder X-ray diffraction pattern (λ = 1.5418 Å (Cu Kα)), based on a crystal structure in Alexandria, relaxed with PBE.

Structural model:
Lattice parameters (Å, degrees): 7.9557 8.6438 12.5737 90.00 128.98 90.00
Sites, in units of the cell vectors:
K 0.2245 0.0887 0.2473
K 0.2245 0.4113 0.7473
K 0.7755 0.5887 0.2527
K 0.7755 0.9113 0.7527
Er 0.0000 0.0000 0.5000
Er 0.0000 0.5000 0.0000
Cu 0.5000 0.0000 0.0000
Cu 0.5000 0.5000 0.5000
Br 0.1166 0.2245 0.9505
Br 0.1166 0.2755 0.4505
Br 0.2400 0.6646 0.9495
Br 0.2400 0.8354 0.4495
Br 0.3810 0.0294 0.7791
Br 0.3810 0.4706 0.2791
Br 0.6190 0.5294 0.7209
Br 0.6190 0.9706 0.2209
Br 0.7600 0.1646 0.5505
Br 0.7600 0.3354 0.0505
Br 0.8834 0.7245 0.5495
Br 0.8834 0.7755 0.0495

Principal peaks in the range 15 to 90 degrees two-theta, in order of rising 2θ:
d 5.854, I 100; d 4.887, I 34; d 3.757, I 31; d 3.614, I 25; d 3.388, I 31; d 3.020, I 38; d 2.927, I 59; d 2.709, I 43; d 2.444, I 24; d 2.254, I 34